No. 1
For LiB4H4, a DFT-relaxed cell (GGA-PBE, the Materials Project) gives the theoretical powder diffractogram in this record (Cu Kα, 1.54184 Å).

Crystal structure
```
data_LiB4H4
_chemical_formula_sum 'Li4 B16 H16'
_space_group_name_H-M_alt 'I -4 2 m'
_space_group_IT_number 121
_space_group_name_Hall 'I -4 2'
_cell_length_a 5.6199
_cell_length_b 5.6199
_cell_length_c 10.7459
_cell_angle_alpha 90.00
_cell_angle_beta 90.00
_cell_angle_gamma 90.00
loop_
_atom_site_label
_atom_site_type_symbol
_atom_site_fract_x
_atom_site_fract_y
_atom_site_fract_z
Li1 Li 0.0000 0.5000 0.2500
B1 B 0.1009 0.1009 0.3776
B2 B 0.1594 0.1594 0.5303
H1 H 0.1938 0.1938 0.0570
H2 H 0.1998 0.1998 0.2916
```

Main lines, sorted by position (2θ from 10° to 80°):
(hkl)  two_theta  I_rel
0 0 2  16.5  12.2
1 0 1  17.8  100.0
1 1 0  22.4  11.3
1 1 2  27.9  7.6
1 1 4  40.5  6.5
1 1 6  56.3  5.1

---

No. 2
For Ti10O13, a DFT-relaxed cell (GGA-PBE, the Materials Project) gives the theoretical powder diffractogram in this record (Cu Kα, 1.54184 Å).

Crystal structure
```
data_Ti10O13
_chemical_formula_sum 'Ti20 O26'
_space_group_name_H-M_alt 'C 1 2/m 1'
_space_group_IT_number 12
_space_group_name_Hall '-C 2y'
_cell_length_a 9.3084
_cell_length_b 4.1738
_cell_length_c 12.1383
_cell_angle_alpha 90.00
_cell_angle_beta 94.22
_cell_angle_gamma 90.00
loop_
_atom_site_label
_atom_site_type_symbol
_atom_site_fract_x
_atom_site_fract_y
_atom_site_fract_z
Ti1 Ti 0.0492 0.0000 0.3745
Ti2 Ti 0.0689 0.5000 0.7681
Ti3 Ti 0.1153 0.0000 0.1544
Ti4 Ti 0.1674 0.5000 0.5402
Ti5 Ti 0.1936 0.0000 0.9278
O1 O 0.0000 0.0000 0.0000
O2 O 0.0375 0.5000 0.3893
O3 O 0.0819 0.0000 0.7728
O4 O 0.1176 0.5000 0.1525
O5 O 0.1422 0.0000 0.5396
O6 O 0.1870 0.5000 0.9209
O7 O 0.2364 0.0000 0.3038
```

Main lines, sorted by position (2θ from 10° to 80°):
(hkl)  two_theta  I_rel
1 1 -1  24.3  20.6
3 1 1  37.4  45.0
0 2 0  43.4  100.0
4 0 -3  43.5  47.3
2 2 5  63.1  65.4
2 2 -8  79.7  23.1

---

No. 3
For K2UP2H4O10, a DFT-relaxed cell (GGA-PBE, the Materials Project) gives the theoretical powder diffractogram in this record (Cu Kα, 1.54184 Å).

Crystal structure
```
data_K2UP2H4O10
_chemical_formula_sum 'K4 U2 P4 H8 O20'
_space_group_name_H-M_alt 'P 1 21 1'
_space_group_IT_number 4
_space_group_name_Hall 'P 2yb'
_cell_length_a 7.8267
_cell_length_b 6.9573
_cell_length_c 10.7404
_cell_angle_alpha 90.00
_cell_angle_beta 111.15
_cell_angle_gamma 90.00
loop_
_atom_site_label
_atom_site_type_symbol
_atom_site_fract_x
_atom_site_fract_y
_atom_site_fract_z
K1 K 0.0182 0.0000 0.4089
K2 K 0.3408 0.2357 0.9179
U1 U 0.1707 0.4590 0.2320
P1 P 0.1464 0.9512 0.1187
P2 P 0.4208 0.6818 0.5526
H1 H 0.2984 0.7275 0.7899
H2 H 0.3390 0.9324 0.1758
H3 H 0.3857 0.1782 0.6289
H4 H 0.4383 0.4879 0.5970
O1 O 0.0277 0.4425 0.3327
O2 O 0.0629 0.7810 0.1689
O3 O 0.0952 0.1389 0.1720
O4 O 0.1001 0.9569 0.9671
O5 O 0.2713 0.1988 0.6468
O6 O 0.2782 0.7806 0.5976
O7 O 0.3175 0.4747 0.1325
O8 O 0.3513 0.6292 0.8595
O9 O 0.3641 0.6727 0.3988
O10 O 0.3842 0.2651 0.3866
```

Main lines, sorted by position (2θ from 10° to 80°):
(hkl)  two_theta  I_rel
1 0 -1  12.1  100.0
0 1 1  15.5  61.0
1 1 0  17.6  62.1
1 1 -2  21.7  46.0
1 0 -3  25.0  26.9
1 2 0  28.4  42.9